Entry 1:
# Rb2BiHF6
Computed X-ray diffraction stick pattern, Cu Kα. Input: a DFT-relaxed cell (GGA-PBE, Alexandria).

Principal peaks in the range 2θ = 10–90°, in order of rising 2θ:
17.76°, I = 89.5, (1 0 1); 27.88°, I = 100.0, (1 1 2); 31.70°, I = 35.9, (2 0 0); 33.47°, I = 30.1, (0 0 4); 36.57°, I = 42.9, (2 1 1); 54.16°, I = 30.3, (3 1 2)

Structure:
Cell lengths 5.6446, 5.6446, 10.7106 Å; angles 90.00, 90.00, 90.00 degrees
Space group I4/mmm (No. 139)
Unique sites:
Rb1 0.0000 0.5000 0.2500
Bi1 0.0000 0.0000 0.0000
H1 0.0000 0.0000 0.5000
F1 0.0000 0.0000 0.2120
F2 0.2145 0.2145 0.5000

Entry 2:
# KAg3O4
Computed X-ray diffraction stick pattern, Cu Kα. Input: a DFT-relaxed cell (GGA-PBE, Alexandria).

Principal peaks in the range 2θ = 10–90°, in order of rising 2θ:
22.63°, I = 100.0, (0 0 1); 28.05°, I = 37.9, (1 1 1); 29.28°, I = 36.7, (0 4 0); 29.54°, I = 36.5, (2 0 0); 42.07°, I = 53.3, (2 4 0); 48.30°, I = 46.3, (2 4 1)

Structure:
Cell lengths 6.0486, 12.2018, 3.9285 Å; angles 90.00, 90.00, 90.00 degrees
Space group Cmmm (No. 65)
Unique sites:
K1 0.0000 0.0000 0.0000
Ag1 0.0000 0.2432 0.5000
Ag2 0.0000 0.5000 0.5000
O1 0.2374 0.3657 0.5000

Entry 3:
# Li2ErSc2In2
Computed X-ray diffraction stick pattern, Cu Kα. Input: a DFT-relaxed cell (GGA-PBE, Alexandria).

Principal peaks in the range 2θ = 10–90°, in order of rising 2θ:
10.52°, I = 40.3, (0 0 3); 22.01°, I = 69.8, (1 0 1); 25.95°, I = 95.8, (1 0 4); 33.12°, I = 59.9, (1 0 7); 35.95°, I = 100.0, (0 1 8); 38.09°, I = 97.1, (1 1 0)

Structure:
Cell lengths 4.7250, 4.7250, 25.2322 Å; angles 90.00, 90.00, 120.00 degrees
Space group R-3m (No. 166, hexagonal axes)
Unique sites:
Li1 0.0000 0.0000 0.0886
Er1 0.0000 0.0000 0.5000
Sc1 0.0000 0.0000 0.3688
In1 0.0000 0.0000 0.2429

Entry 4:
# BePbAu3
Computed X-ray diffraction stick pattern, Cu Kα. Input: a DFT-relaxed cell (GGA-PBE, Alexandria).

Principal peaks in the range 2θ = 10–90°, in order of rising 2θ:
33.52°, I = 100.0, (1 1 1); 38.90°, I = 52.0, (2 0 0); 56.18°, I = 36.2, (2 2 0); 67.03°, I = 41.9, (3 1 1); 70.44°, I = 12.5, (2 2 2); 83.50°, I = 6.1, (4 0 0)

Structure:
Cell lengths 4.6308, 4.6308, 4.6308 Å; angles 90.00, 90.00, 90.00 degrees
Space group Pm-3m (No. 221)
Unique sites:
Be1 0.0000 0.0000 0.0000
Pb1 0.5000 0.5000 0.5000
Au1 0.0000 0.0000 0.5000

Entry 5:
# Sr3SiO5
Computed X-ray diffraction stick pattern, Cu Kα. Input: a DFT-relaxed cell (GGA-PBE, Alexandria).

Principal peaks in the range 2θ = 10–90°, in order of rising 2θ:
29.21°, I = 24.1, (2 1 1); 30.02°, I = 100.0, (2 0 2); 33.07°, I = 21.3, (0 0 4); 35.64°, I = 27.8, (2 2 0); 37.65°, I = 40.6, (2 1 3); 49.40°, I = 24.5, (2 2 4)

Structure:
Cell lengths 7.1261, 7.1261, 10.8348 Å; angles 90.00, 90.00, 90.00 degrees
Space group P4/ncc (No. 130, origin choice 2)
Unique sites:
Sr1 0.0526 0.5526 0.2500
Sr2 0.2500 0.2500 0.0134
Si1 0.2500 0.7500 0.0000
O1 0.0837 0.6693 0.9077
O2 0.2500 0.2500 0.2873

Entry 6:
# Hg2B2F7
Computed X-ray diffraction stick pattern, Cu Kα. Input: a DFT-relaxed cell (GGA-PBE, Alexandria).

Principal peaks in the range 2θ = 10–90°, in order of rising 2θ:
14.47°, I = 100.0, (0 0 1); 16.05°, I = 71.1, (0 1 0); 17.08°, I = 90.6, (0 1 1); 25.49°, I = 46.3, (0 1 -1); 27.46°, I = 46.2, (0 1 2); 39.70°, I = 29.4, (2 1 0)

Structure:
Cell lengths 5.3751, 6.0148, 7.0795 Å; angles 66.65, 69.05, 82.61 degrees
Space group P-1 (No. 2)
Unique sites:
Hg1 0.2489 0.0481 0.4865
B1 0.2278 0.3652 0.8710
F1 0.0000 0.5000 0.0000
F2 0.1450 0.3755 0.7036
F3 0.2292 0.1362 0.0236
F4 0.4557 0.5005 0.7982